For AcNbSn, a structure optimized by DFT (GGA-PBE) gives the computed powder XRD pattern in this record (Cu Kα (λ = 1.5418 Å)).

Atomic structure:
```
data_AcNbSn
_cell_length_a 4.3018
_cell_length_b 4.3018
_cell_length_c 36.3402
_cell_angle_alpha 90.00
_cell_angle_beta 90.00
_cell_angle_gamma 120.00
_symmetry_space_group_name_H-M 'R -3 m'
_symmetry_Int_Tables_number 166
_symmetry_space_group_name_Hall '-R 3 2"'
loop_
_atom_site_label
_atom_site_type_symbol
_atom_site_fract_x
_atom_site_fract_y
_atom_site_fract_z
Ac1 Ac 0.0000 0.0000 0.1195
Nb1 Nb 0.0000 0.0000 0.3114
Sn1 Sn 0.0000 0.0000 0.3920
```

Principal peaks in the range 10° ≤ 2θ ≤ 90°, in order of falling intensity:
25.8 deg, rel. 1000, hkl 1 0 4
42.0 deg, rel. 505, hkl 1 1 0
34.5 deg, rel. 291, hkl 1 0 10
29.5 deg, rel. 288, hkl 0 0 12
31.0 deg, rel. 227, hkl 0 1 8
42.4 deg, rel. 207, hkl 0 1 14
52.2 deg, rel. 203, hkl 1 1 12
26.9 deg, rel. 201, hkl 0 1 5
36.3 deg, rel. 187, hkl 0 1 11
50.0 deg, rel. 173, hkl 0 2 4
67.3 deg, rel. 145, hkl 2 1 4
46.8 deg, rel. 136, hkl 1 0 16

For Pr4IrCl5, a structure optimized by DFT (GGA-PBE) gives the computed powder XRD pattern in this record (Cu Kα (λ = 1.5418 Å)).

Atomic structure:
```
data_Pr4IrCl5
_cell_length_a 18.937
_cell_length_b 4.138
_cell_length_c 8.572
_cell_angle_alpha 90.00
_cell_angle_beta 107.12
_cell_angle_gamma 90.00
_symmetry_space_group_name_H-M 'C 1 2/m 1'
_symmetry_Int_Tables_number 12
loop_
_symmetry_equiv_pos_as_xyz
'x,y,z'
'-x,-y,-z'
'-x,y,-z'
'x,-y,z'
'x+1/2,y+1/2,z'
'-x+1/2,-y+1/2,-z'
'-x+1/2,y+1/2,-z'
'x+1/2,-y+1/2,z'
loop_
_atom_site_label
_atom_site_type_symbol
_atom_site_fract_x
_atom_site_fract_y
_atom_site_fract_z
Pr1 Pr 0.003 0.000 0.278
Pr2 Pr 0.157 0.500 0.617
Ir1 Ir 0.000 0.500 0.500
Cl1 Cl 0.000 0.500 0.000
Cl2 Cl 0.166 0.000 0.853
Cl3 Cl 0.173 0.000 0.385
```

Principal peaks in the range 10° ≤ 2θ ≤ 90°, in order of falling intensity:
10.8 deg, rel. 1000, hkl 0 0 1
30.1 deg, rel. 838, hkl 1 1 -2
43.8 deg, rel. 467, hkl 0 2 0
29.6 deg, rel. 465, hkl 6 0 0
12.3 deg, rel. 339, hkl 2 0 -1
41.6 deg, rel. 296, hkl 7 1 -2
23.9 deg, rel. 257, hkl 1 1 -1
31.2 deg, rel. 251, hkl 3 1 -2
38.6 deg, rel. 227, hkl 3 1 -3
53.7 deg, rel. 168, hkl 6 2 0
37.0 deg, rel. 152, hkl 3 1 2
39.8 deg, rel. 134, hkl 7 1 -1

For P7Pb6, a structure optimized by DFT (GGA-PBE) gives the computed powder XRD pattern in this record (Cu Kα (λ = 1.5418 Å)).

Atomic structure:
```
data_P7Pb6
_cell_length_a 5.7485
_cell_length_b 5.7485
_cell_length_c 33.4699
_cell_angle_alpha 90.00
_cell_angle_beta 90.00
_cell_angle_gamma 120.00
_symmetry_space_group_name_H-M 'R -3 m'
_symmetry_Int_Tables_number 166
_symmetry_space_group_name_Hall '-R 3 2"'
loop_
_atom_site_label
_atom_site_type_symbol
_atom_site_fract_x
_atom_site_fract_y
_atom_site_fract_z
P1 P 0.0000 0.0000 0.0000
P2 P 0.0750 0.5375 0.5987
Pb1 Pb 0.0000 0.0000 0.1797
Pb2 Pb 0.0000 0.0000 0.3384
Pb3 Pb 0.0000 0.0000 0.4520
```

Principal peaks in the range 10° ≤ 2θ ≤ 90°, in order of falling intensity:
31.1 deg, rel. 1000, hkl 1 1 0
27.9 deg, rel. 612, hkl 0 1 8
35.1 deg, rel. 508, hkl 1 1 6
55.3 deg, rel. 334, hkl 3 0 0
34.5 deg, rel. 319, hkl 0 1 11
15.9 deg, rel. 296, hkl 0 0 6
64.9 deg, rel. 262, hkl 2 2 0
32.2 deg, rel. 235, hkl 1 0 10
18.0 deg, rel. 221, hkl 1 0 1
39.6 deg, rel. 187, hkl 1 1 9
57.6 deg, rel. 174, hkl 1 2 11
42.2 deg, rel. 159, hkl 2 0 8

For La12Ir5Pt2, a structure optimized by DFT (GGA-PBE) gives the computed powder XRD pattern in this record (Cu Kα (λ = 1.5418 Å)).

Atomic structure:
```
data_La12Ir5Pt2
_cell_length_a 15.547
_cell_length_b 7.930
_cell_length_c 10.156
_cell_angle_alpha 90.00
_cell_angle_beta 107.93
_cell_angle_gamma 90.00
_symmetry_space_group_name_H-M 'C 1 2/m 1'
_symmetry_Int_Tables_number 12
loop_
_symmetry_equiv_pos_as_xyz
'x,y,z'
'-x,-y,-z'
'-x,y,-z'
'x,-y,z'
'x+1/2,y+1/2,z'
'-x+1/2,-y+1/2,-z'
'-x+1/2,y+1/2,-z'
'x+1/2,-y+1/2,z'
loop_
_atom_site_label
_atom_site_type_symbol
_atom_site_fract_x
_atom_site_fract_y
_atom_site_fract_z
La1 La 0.030 0.000 0.325
La2 La 0.081 0.500 0.322
La3 La 0.131 0.254 0.009
La4 La 0.191 0.243 0.650
Ir1 Ir 0.000 0.500 0.000
Ir2 Ir 0.206 0.000 0.879
Ir3 Ir 0.225 0.000 0.466
Pt1 Pt 0.000 0.286 0.500
```

Principal peaks in the range 10° ≤ 2θ ≤ 90°, in order of falling intensity:
29.3 deg, rel. 1000, hkl 2 2 -2
28.4 deg, rel. 722, hkl 4 0 1
45.8 deg, rel. 643, hkl 0 4 0
35.0 deg, rel. 611, hkl 2 2 -3
40.8 deg, rel. 533, hkl 2 2 3
32.3 deg, rel. 490, hkl 4 2 -1
18.4 deg, rel. 481, hkl 0 0 2
20.8 deg, rel. 379, hkl 1 1 -2
34.2 deg, rel. 345, hkl 4 2 -2
31.7 deg, rel. 282, hkl 3 1 2
14.5 deg, rel. 252, hkl 1 1 -1
25.8 deg, rel. 244, hkl 2 2 -1

For KTa2Re, a structure optimized by DFT (GGA-PBE) gives the computed powder XRD pattern in this record (Cu Kα (λ = 1.5418 Å)).

Atomic structure:
```
data_KTa2Re
_cell_length_a 2.881
_cell_length_b 4.233
_cell_length_c 8.228
_cell_angle_alpha 90.00
_cell_angle_beta 97.79
_cell_angle_gamma 90.00
_symmetry_space_group_name_H-M 'P 1 2/m 1'
_symmetry_Int_Tables_number 10
loop_
_symmetry_equiv_pos_as_xyz
'x,y,z'
'-x,-y,-z'
'-x,y,-z'
'x,-y,z'
loop_
_atom_site_label
_atom_site_type_symbol
_atom_site_fract_x
_atom_site_fract_y
_atom_site_fract_z
K1 K 0.000 0.000 0.000
Ta1 Ta 0.208 0.500 0.649
Re1 Re 0.500 0.000 0.500
```

Principal peaks in the range 10° ≤ 2θ ≤ 90°, in order of falling intensity:
10.9 deg, rel. 1000, hkl 0 0 1
38.4 deg, rel. 251, hkl 1 1 -1
39.4 deg, rel. 174, hkl 0 1 3
30.4 deg, rel. 163, hkl 0 1 2
41.9 deg, rel. 127, hkl 1 1 -2
42.7 deg, rel. 113, hkl 0 2 0
34.7 deg, rel. 106, hkl 1 0 1
49.6 deg, rel. 105, hkl 0 1 4
41.0 deg, rel. 85, hkl 1 0 2
44.2 deg, rel. 70, hkl 0 2 1
56.1 deg, rel. 57, hkl 1 2 1
60.7 deg, rel. 55, hkl 1 2 2